[1]
Structure and simulated powder diffraction line list of Nd3Er2Te5 (DFT lattice parameters and positions (GGA-PBE); Cu Kα (λ = 1.5418 Å)).
Peak positions follow from Bragg's law for the DFT cell and can differ from measured ones.

The 10 most intense peaks (5 to 70 degrees two-theta), by angle:
| d_spacing | 2θ (°) | I/Imax |
| --- | --- | --- |
| 3.604 | 24.70 | 1.5 |
| 3.131 | 28.51 | 100.0 |
| 2.223 | 40.57 | 37.5 |
| 2.204 | 40.95 | 37.5 |
| 1.824 | 50.02 | 6.6 |
| 1.804 | 50.60 | 6.6 |
| 1.801 | 50.68 | 13.5 |
| 1.565 | 59.01 | 12.2 |
| 1.405 | 66.56 | 16.2 |
| 1.395 | 67.09 | 16.7 |

Crystal structure
Unit cell a=7.6643 b=7.6643 c=10.9411 alpha=118.47 beta=118.47 gamma=33.40
Fractional positions:
Nd 0.0000 0.0000 0.0000
Nd 0.2099 0.2099 0.8071
Nd 0.7901 0.7901 0.1929
Er 0.4038 0.4038 0.5987
Er 0.5962 0.5962 0.4013
Te 0.0000 0.0000 0.5000
Te 0.1978 0.1978 0.3141
Te 0.4049 0.4049 0.1122
Te 0.5951 0.5951 0.8878
Te 0.8022 0.8022 0.6859

=====

[2]
Structure and simulated powder diffraction line list of Cs6K3Cl (DFT lattice parameters and positions (GGA-PBE); Cu Kα (λ = 1.5418 Å)).
Peak positions follow from Bragg's law for the DFT cell and can differ from measured ones.

The 10 most intense peaks (5 to 70 degrees two-theta), by angle:
| d_spacing | 2θ (°) | I/Imax |
| --- | --- | --- |
| 4.226 | 21.02 | 100.0 |
| 3.829 | 23.23 | 22.4 |
| 3.622 | 24.58 | 19.8 |
| 3.545 | 25.12 | 19.3 |
| 2.631 | 34.07 | 15.8 |
| 2.601 | 34.48 | 15.8 |
| 2.280 | 39.53 | 18.8 |
| 2.190 | 41.22 | 16.8 |
| 2.156 | 41.90 | 16.2 |
| 2.113 | 42.80 | 16.4 |

Crystal structure
Unit cell a=15.8121 b=15.8121 c=7.0902 alpha=90.00 beta=90.00 gamma=93.18
Fractional positions:
Cs 0.0819 0.9181 0.7500
Cs 0.0890 0.5952 0.7500
Cs 0.2431 0.7569 0.2500
Cs 0.2537 0.4144 0.2500
Cs 0.4048 0.9110 0.7500
Cs 0.4144 0.2537 0.7500
Cs 0.5856 0.7463 0.2500
Cs 0.5952 0.0890 0.2500
Cs 0.7463 0.5856 0.7500
Cs 0.7569 0.2431 0.7500
Cs 0.9110 0.4048 0.2500
Cs 0.9181 0.0819 0.2500
K 0.0951 0.2466 0.7500
K 0.2466 0.0951 0.2500
K 0.4223 0.5777 0.7500
K 0.5777 0.4223 0.2500
K 0.7534 0.9049 0.7500
K 0.9049 0.7534 0.2500
Cl 0.2309 0.7691 0.7500
Cl 0.7691 0.2309 0.2500

=====

[3]
Structure and simulated powder diffraction line list of Ac8Tb2Pr3 (DFT lattice parameters and positions (GGA-PBE); Cu Kα (λ = 1.5418 Å)).
Peak positions follow from Bragg's law for the DFT cell and can differ from measured ones.

The 10 most intense peaks (5 to 70 degrees two-theta), by angle:
| d_spacing | 2θ (°) | I/Imax |
| --- | --- | --- |
| 3.898 | 22.82 | 25.7 |
| 3.339 | 26.70 | 36.8 |
| 3.120 | 28.61 | 54.8 |
| 3.026 | 29.52 | 100.0 |
| 2.940 | 30.40 | 63.6 |
| 2.792 | 32.06 | 21.9 |
| 2.761 | 32.42 | 20.6 |
| 2.377 | 37.86 | 16.0 |
| 1.690 | 54.27 | 17.0 |
| 1.675 | 54.81 | 13.8 |

Crystal structure
Unit cell a=9.5321 b=9.5321 c=7.3267 alpha=105.78 beta=105.78 gamma=63.15
Fractional positions:
Ac 0.0630 0.6960 0.3017
Ac 0.1042 0.1042 0.2074
Ac 0.3040 0.9370 0.6983
Ac 0.3121 0.3121 0.6090
Ac 0.6879 0.6879 0.3910
Ac 0.6960 0.0630 0.3017
Ac 0.8958 0.8958 0.7926
Ac 0.9370 0.3040 0.6983
Tb 0.3120 0.3120 0.0848
Tb 0.6880 0.6880 0.9152
Pr 0.3353 0.6647 0.0000
Pr 0.5000 0.5000 0.5000
Pr 0.6647 0.3353 0.0000

=====

[4]
Structure and simulated powder diffraction line list of Mn5Si3 (DFT lattice parameters and positions (GGA-PBE); Cu Kα (λ = 1.5418 Å)).
Peak positions follow from Bragg's law for the DFT cell and can differ from measured ones.

The 8 most intense peaks (5 to 70 degrees two-theta), by angle:
| d_spacing | 2θ (°) | I/Imax |
| --- | --- | --- |
| 3.970 | 22.39 | 3.9 |
| 2.807 | 31.88 | 7.3 |
| 2.292 | 39.31 | 1.8 |
| 1.985 | 45.70 | 100.0 |
| 1.776 | 51.47 | 0.7 |
| 1.621 | 56.80 | 1.6 |
| 1.501 | 61.83 | 0.8 |
| 1.404 | 66.63 | 14.9 |

Crystal structure
Unit cell a=4.8625 b=4.8625 c=4.8625 alpha=109.47 beta=109.47 gamma=109.47
Fractional positions:
Mn 0.0000 0.0000 0.0000
Mn 0.0000 0.0000 0.5000
Mn 0.0000 0.5000 0.0000
Mn 0.5000 0.0000 0.0000
Mn 0.5000 0.5000 0.5000
Si 0.0000 0.5000 0.5000
Si 0.5000 0.0000 0.5000
Si 0.5000 0.5000 0.0000

=====

[5]
Structure and simulated powder diffraction line list of TlIn4S5Cl (DFT lattice parameters and positions (GGA-PBE); Cu Kα (λ = 1.5418 Å)).
Peak positions follow from Bragg's law for the DFT cell and can differ from measured ones.

The 10 most intense peaks (5 to 70 degrees two-theta), by angle:
| d_spacing | 2θ (°) | I/Imax |
| --- | --- | --- |
| 4.319 | 20.57 | 100.0 |
| 4.035 | 22.03 | 48.0 |
| 3.853 | 23.08 | 73.4 |
| 3.521 | 25.29 | 49.2 |
| 3.254 | 27.41 | 56.6 |
| 2.739 | 32.70 | 59.0 |
| 2.640 | 33.96 | 71.3 |
| 2.433 | 36.94 | 70.7 |
| 2.403 | 37.42 | 50.3 |
| 1.991 | 45.57 | 57.8 |

Crystal structure
Unit cell a=9.0700 b=3.9813 c=15.4172 alpha=90.00 beta=94.39 gamma=90.00
Fractional positions:
Tl 0.1183 0.2500 0.1539
Tl 0.8817 0.7500 0.8461
In 0.1572 0.7500 0.4468
In 0.2662 0.7500 0.7071
In 0.3671 0.2500 0.9355
In 0.4521 0.2500 0.3557
In 0.5479 0.7500 0.6443
In 0.6329 0.7500 0.0645
In 0.7338 0.2500 0.2929
In 0.8428 0.2500 0.5532
S 0.0361 0.7500 0.5984
S 0.1864 0.2500 0.7986
S 0.2870 0.7500 0.2994
S 0.3338 0.2500 0.4999
S 0.4648 0.2500 0.0987
S 0.5352 0.7500 0.9013
S 0.6662 0.7500 0.5001
S 0.7130 0.2500 0.7006
S 0.8136 0.7500 0.2014
S 0.9639 0.2500 0.4016
Cl 0.1731 0.7500 0.9904
Cl 0.8269 0.2500 0.0096